Computed powder X-ray diffraction pattern
Compound: Er2Cd3Ag3
Radiation: CuKα
Structure: a GGA-PBE-relaxed structure

Structural model:
Cell: 4.9567 4.9567 24.1477 Å, 90.00 90.00 120.00°
Space group R3m (No. 160, hexagonal axes)
Unique sites:
Er  0.0000  0.0000  0.0000 [3 per cell]
Er  0.0000  0.0000  0.4943 [3 per cell]
Cd  0.0000  0.0000  0.2483 [3 per cell]
Cd  0.0000  0.0000  0.7460 [3 per cell]
Cd  0.0000  0.0000  0.8724 [3 per cell]
Ag  0.0000  0.0000  0.1241 [3 per cell]
Ag  0.0000  0.0000  0.3706 [3 per cell]
Ag  0.0000  0.0000  0.6216 [3 per cell]

Most intense lines, 2θ = 10–90°, most intense first:
d_spacing  two_theta  I/Imax  hkl
2.478  36.25  100  1 1 0
2.469  36.39  98  0 1 8
1.430  65.26  51  3 0 0
1.749  52.30  34  2 0 8
1.424  65.57  16  1 0 16
1.108  88.23  15  3 1 8
1.105  88.47  15  2 1 16
1.239  76.94  11  2 2 0
1.235  77.28  10  0 2 16
4.045  21.98  3  0 1 2